# CdSeI
Computed XRD peak list, Cu Kα, 1.54184 Å. Input: a GGA-PBE-relaxed structure.

Crystal structure
Cell: 14.3812 7.3527 4.4205 Å, 90.00 107.19 90.00°
Atoms (fractional coordinates):
Cd  0.1783  0.0000  0.1775
Cd  0.3217  0.5000  0.8225
Cd  0.6783  0.5000  0.1775
Cd  0.8217  0.0000  0.8225
Se  0.2003  0.7933  0.6994
Se  0.2997  0.2933  0.3006
Se  0.7003  0.2933  0.6994
Se  0.7997  0.7933  0.3006
I  0.0000  0.2057  0.0000
I  0.0000  0.7291  0.5000
I  0.5000  0.2291  0.5000
I  0.5000  0.7057  0.0000

Principal peaks in the range 2θ = 15–90°, most intense first:
2θ (°)  Rel. int.  h k l
23.5  100  1 1 -1
22.9  36  3 1 0
27.5  29  2 2 0
40.8  22  2 0 -2
35.8  17  4 2 0
39.3  15  6 0 0
37.3  15  2 2 1
35.1  14  3 1 1
37.5  14  4 2 -1
35.5  14  5 1 -1